This entry pairs a crystal structure of K3Li2Pb9 with its calculated XRD peak list. Radiation: Cu Kα (weighted mean of Kα1 and Kα2). Structure: a structure optimized by DFT (GGA-PBE).
Neutral-atom scattering factors, no anomalous dispersion.

Most intense lines, 2θ = 10–90°, by angle:
6.222 Å, 2θ 14.23, I 38.8
4.669 Å, 2θ 19.01, I 79.5
3.581 Å, 2θ 24.87, I 47.5
3.202 Å, 2θ 27.86, I 85.7
3.104 Å, 2θ 28.76, I 56.9
3.027 Å, 2θ 29.51, I 54.9
2.603 Å, 2θ 34.46, I 52.1
2.519 Å, 2θ 35.65, I 53.0
2.387 Å, 2θ 37.68, I 100.0
1.956 Å, 2θ 46.43, I 31.3

```
K3Li2Pb9
1.0
-2.519 6.222 7.162
2.519 -6.222 7.162
2.519 6.222 -7.162
K Li Pb
3 2 9
Direct
0.000 0.000 0.000
0.281 0.281 0.000
0.719 0.719 0.000
0.352 0.500 0.852
0.648 0.500 0.148
0.023 0.376 0.647
0.148 0.852 0.296
0.270 0.624 0.647
0.444 0.148 0.296
0.500 0.000 0.500
0.556 0.852 0.704
0.730 0.376 0.353
0.852 0.148 0.704
0.977 0.624 0.353
```



This entry pairs a crystal structure of BaTiCu2S4 with its calculated XRD peak list. Radiation: Cu Kα (weighted mean of Kα1 and Kα2). Structure: a structure optimized by DFT (GGA-PBE).
Neutral-atom scattering factors, no anomalous dispersion.

Most intense lines, 2θ = 10–90°, by angle:
4.868 Å, 2θ 18.22, I 54.5
3.771 Å, 2θ 23.59, I 39.5
3.111 Å, 2θ 28.69, I 100.0
2.981 Å, 2θ 29.97, I 59.8
2.598 Å, 2θ 34.53, I 40.7
2.350 Å, 2θ 38.30, I 58.7
2.025 Å, 2θ 44.76, I 28.9
1.899 Å, 2θ 47.91, I 35.7
1.755 Å, 2θ 52.13, I 20.2
1.582 Å, 2θ 58.33, I 23.8

```
BaTiCu2S4
1.0
-3.005 3.771 4.151
3.005 -3.771 4.151
3.005 3.771 -4.151
Ba Ti Cu S
1 1 2 4
Direct
0.000 0.000 0.000
0.500 0.500 0.000
0.348 0.848 0.500
0.652 0.152 0.500
0.158 0.543 0.035
0.492 0.457 0.614
0.508 0.122 0.965
0.842 0.878 0.386
```